Structure and theoretical powder XRD pattern of Rb2TaAgS2 (a crystal structure in the Materials Project, relaxed with GGA-PBE; a wavelength of 1.5418 Å).
No peak broadening, texture or thermal motion is included.

Structural model:
Lattice parameters (Å, degrees): 5.8815 12.3705 46.2927 90.00 90.00 90.00
Space group Fddd (No. 70, origin choice 2)
Unique sites:
Rb 0.0692 0.2608 0.3210 (multiplicity 32)
Ta 0.0000 0.0000 0.5000 (multiplicity 16)
Ag 0.0000 0.0000 0.0000 (multiplicity 16)
S 0.0610 0.2555 0.7993 (multiplicity 32)

Principal peaks in the range 15° ≤ 2θ ≤ 90°, low angle first:
hkl  2theta  I (rel.)
0 0 12  23.05  47
0 4 0  28.87  66
0 4 4  29.91  34
0 0 16  30.91  36
2 2 2  33.98  100
0 4 12  37.26  28
0 4 16  42.80  28
2 2 14  43.72  45